Theoretical powder diffraction line list of AcNdWN4 for Cu Kα, 1.54184 Å, from a crystal structure in Alexandria, relaxed with PBE.
Lines closer than 0.1° are merged.

Crystal structure
a = 3.986 Å, b = 3.986 Å, c = 13.188 Å
α = 90.00°, β = 90.00°, γ = 90.00°
Space group I4mm (No. 107)
Unique sites:
Ac  0.000  0.000  0.000 x2
Nd  0.000  0.000  0.708 x2
W  0.000  0.000  0.342 x2
N  0.000  0.000  0.197 x2
N  0.000  0.000  0.530 x2
N  0.000  0.500  0.354 x4

Top 6 peaks for 15 to 90 degrees two-theta, most intense first:
index, Position (°2θ), Rel. int.
1 0 3, 30.27, 100.0
1 1 0, 31.74, 54.6
2 1 3, 55.63, 38.0
2 0 0, 45.51, 24.2
0 0 6, 41.05, 20.4
2 0 6, 62.94, 17.4



Theoretical powder diffraction line list of AcNiN4 for Cu Kα, 1.54184 Å, from a crystal structure in Alexandria, relaxed with PBE.
Lines closer than 0.1° are merged.

Crystal structure
a = 7.561 Å, b = 8.531 Å, c = 5.860 Å
α = 90.00°, β = 90.00°, γ = 90.00°
Space group Ccc2 (No. 37)
Unique sites:
Ac  0.250  0.250  0.000 x4
Ni  0.000  0.000  0.240 x4
N  0.101  0.183  0.602 x8
N  0.161  0.070  0.476 x8

Top 6 peaks for 15 to 90 degrees two-theta, most intense first:
index, Position (°2θ), Rel. int.
1 1 1, 21.83, 100.0
1 3 1, 37.10, 39.1
2 2 0, 31.63, 39.0
3 1 1, 40.37, 31.5
2 0 2, 38.89, 26.2
0 2 2, 37.23, 26.2



Theoretical powder diffraction line list of Ac6Ni2N for Cu Kα, 1.54184 Å, from a crystal structure in Alexandria, relaxed with PBE.
Lines closer than 0.1° are merged.

Crystal structure
a = 6.883 Å, b = 7.575 Å, c = 12.673 Å
α = 90.00°, β = 122.68°, γ = 90.00°
Space group P2_1/c (No. 14)
Unique sites:
Ac  0.093  0.041  0.237 x4
Ac  0.237  0.688  0.068 x4
Ac  0.383  0.171  0.069 x4
Ni  0.314  0.112  0.753 x4
N  0.000  0.000  0.000 x2

Top 6 peaks for 15 to 90 degrees two-theta, most intense first:
index, Position (°2θ), Rel. int.
1 0 2, 28.19, 100.0
2 1 -3, 29.72, 59.8
1 2 1, 31.76, 51.9
0 2 2, 28.91, 48.9
1 0 -4, 28.29, 47.8
2 1 -2, 28.49, 41.2



Theoretical powder diffraction line list of SrAcNiN2 for Cu Kα, 1.54184 Å, from a crystal structure in Alexandria, relaxed with PBE.
Lines closer than 0.1° are merged.

Crystal structure
a = 5.213 Å, b = 5.691 Å, c = 7.186 Å
α = 90.00°, β = 90.00°, γ = 90.00°
Space group Pccm (No. 49)
Unique sites:
Sr  0.000  0.000  0.250 x2
Ac  0.500  0.500  0.250 x2
Ni  0.500  0.000  0.000 x2
N  0.278  0.247  0.000 x4

Top 6 peaks for 15 to 90 degrees two-theta, most intense first:
index, Position (°2θ), Rel. int.
1 1 2, 34.16, 100.0
1 1 0, 23.14, 55.7
1 0 0, 17.01, 39.7
0 2 0, 31.44, 26.6
2 2 0, 47.30, 22.5
1 3 2, 57.73, 22.1



Theoretical powder diffraction line list of AcNp3P4N12 for Cu Kα, 1.54184 Å, from a crystal structure in Alexandria, relaxed with PBE.
Lines closer than 0.1° are merged.

Crystal structure
a = 10.8847 Å, b = 10.8847 Å, c = 8.7970 Å
α = 90.00°, β = 90.00°, γ = 120.00°
Space group R32 (No. 155, hexagonal axes)
Unique sites:
Ac  0.0000  0.0000  0.0000 x3
Np  0.0000  0.5499  0.0000 x9
P  0.0000  0.0000  0.5000 x3
P  0.0000  0.4481  0.5000 x9
N  0.0000  0.5949  0.5000 x9
N  0.0000  0.8543  0.5000 x9
N  0.0261  0.2117  0.1815 x18

Top 6 peaks for 15 to 90 degrees two-theta, most intense first:
index, Position (°2θ), Rel. int.
2 0 2, 27.74, 100.0
0 2 1, 21.39, 91.0
0 2 4, 45.49, 47.9
2 2 0, 32.91, 34.4
1 3 1, 35.83, 23.4
2 1 1, 27.00, 21.7



Theoretical powder diffraction line list of AcPrNpN4 for Cu Kα, 1.54184 Å, from a crystal structure in Alexandria, relaxed with PBE.
Lines closer than 0.1° are merged.

Crystal structure
a = 4.234 Å, b = 4.234 Å, c = 13.110 Å
α = 90.00°, β = 90.00°, γ = 90.00°
Space group I4mm (No. 107)
Unique sites:
Ac  0.000  0.000  0.000 x2
Pr  0.000  0.000  0.705 x2
Np  0.000  0.000  0.350 x2
N  0.000  0.000  0.186 x2
N  0.000  0.000  0.521 x2
N  0.000  0.500  0.345 x4

Top 6 peaks for 15 to 90 degrees two-theta, most intense first:
index, Position (°2θ), Rel. int.
1 0 3, 29.37, 100.0
1 1 0, 29.84, 57.7
2 1 3, 52.68, 41.5
2 0 0, 42.71, 26.0
1 1 6, 51.80, 18.5
2 0 6, 60.93, 13.4



Theoretical powder diffraction line list of Ac2NpSb2N2 for Cu Kα, 1.54184 Å, from a crystal structure in Alexandria, relaxed with PBE.
Lines closer than 0.1° are merged.

Crystal structure
a = 12.419 Å, b = 4.467 Å, c = 7.467 Å
α = 90.00°, β = 119.56°, γ = 90.00°
Space group C2/m (No. 12)
Unique sites:
Ac  0.202  0.000  0.245 x4
Np  0.000  0.000  0.500 x2
Sb  0.042  0.500  0.821 x4
N  0.174  0.000  0.578 x4

Top 6 peaks for 15 to 90 degrees two-theta, most intense first:
index, Position (°2θ), Rel. int.
1 1 1, 27.71, 100.0
3 1 -2, 33.23, 71.1
4 0 -1, 28.87, 39.7
0 2 0, 40.38, 25.2
3 1 -1, 29.46, 21.4
4 2 -1, 50.40, 17.7



Theoretical powder diffraction line list of SrAcNpN4 for Cu Kα, 1.54184 Å, from a crystal structure in Alexandria, relaxed with PBE.
Lines closer than 0.1° are merged.

Crystal structure
a = 4.256 Å, b = 4.256 Å, c = 13.106 Å
α = 90.00°, β = 90.00°, γ = 90.00°
Space group I4mm (No. 107)
Unique sites:
Sr  0.000  0.000  0.000 x2
Ac  0.000  0.000  0.293 x2
Np  0.000  0.000  0.643 x2
N  0.000  0.000  0.488 x2
N  0.000  0.000  0.802 x2
N  0.000  0.500  0.150 x4

Top 6 peaks for 15 to 90 degrees two-theta, most intense first:
index, Position (°2θ), Rel. int.
1 0 3, 29.30, 100.0
1 1 0, 29.69, 58.0
2 1 3, 52.44, 41.9
2 0 0, 42.48, 26.6
1 1 6, 51.71, 19.3
1 0 5, 40.42, 14.7



Theoretical powder diffraction line list of AcN4O12 for Cu Kα, 1.54184 Å, from a crystal structure in Alexandria, relaxed with PBE.
Lines closer than 0.1° are merged.

Crystal structure
a = 7.077 Å, b = 7.077 Å, c = 7.077 Å
α = 90.00°, β = 90.00°, γ = 90.00°
Space group Im-3 (No. 204)
Unique sites:
Ac  0.000  0.000  0.000 x2
N  0.250  0.250  0.250 x8
O  0.000  0.214  0.298 x24

Top 6 peaks for 15 to 90 degrees two-theta, most intense first:
index, Position (°2θ), Rel. int.
1 1 0, 17.72, 100.0
2 1 1, 30.95, 58.3
3 2 1, 48.11, 39.2
3 1 0, 40.30, 34.8
4 3 1, 67.48, 20.5
2 2 0, 35.89, 17.7



Theoretical powder diffraction line list of Ac2NO for Cu Kα, 1.54184 Å, from a crystal structure in Alexandria, relaxed with PBE.
Lines closer than 0.1° are merged.

Crystal structure
a = 6.496 Å, b = 6.548 Å, c = 3.782 Å
α = 90.00°, β = 90.00°, γ = 90.00°
Space group Pnnm (No. 58)
Unique sites:
Ac  0.243  0.166  0.000 x4
N  0.000  0.000  0.500 x2
O  0.000  0.500  0.000 x2

Top 6 peaks for 15 to 90 degrees two-theta, most intense first:
index, Position (°2θ), Rel. int.
1 2 0, 30.57, 100.0
3 2 0, 50.53, 25.2
2 0 0, 27.46, 24.8
2 1 1, 39.06, 22.3
2 3 1, 56.30, 22.0
0 3 1, 48.13, 22.0



Theoretical powder diffraction line list of AcPuN2O for Cu Kα, 1.54184 Å, from a crystal structure in Alexandria, relaxed with PBE.
Lines closer than 0.1° are merged.

Crystal structure
a = 6.018 Å, b = 6.018 Å, c = 8.771 Å
α = 90.00°, β = 90.00°, γ = 90.00°
Space group I4/mcm (No. 140)
Unique sites:
Ac  0.000  0.500  0.250 x4
Pu  0.000  0.000  0.000 x4
N  0.195  0.305  0.000 x8
O  0.000  0.000  0.250 x4

Top 6 peaks for 15 to 90 degrees two-theta, most intense first:
index, Position (°2θ), Rel. int.
1 1 2, 29.24, 100.0
2 0 0, 29.69, 51.8
3 1 2, 52.41, 43.7
2 0 4, 51.57, 23.3
2 2 0, 42.49, 23.3
2 2 4, 60.65, 16.4



Theoretical powder diffraction line list of Ac2UN2O2 for Cu Kα, 1.54184 Å, from a crystal structure in Alexandria, relaxed with PBE.
Lines closer than 0.1° are merged.

Crystal structure
a = 4.353 Å, b = 4.353 Å, c = 13.377 Å
α = 90.00°, β = 90.00°, γ = 90.00°
Space group I4/mmm (No. 139)
Unique sites:
Ac  0.000  0.000  0.148 x4
U  0.000  0.000  0.500 x2
N  0.000  0.500  0.000 x4
O  0.000  0.000  0.328 x4

Top 6 peaks for 15 to 90 degrees two-theta, most intense first:
index, Position (°2θ), Rel. int.
1 0 3, 28.66, 100.0
1 1 0, 29.01, 60.2
2 1 3, 51.20, 42.7
2 0 0, 41.49, 27.1
1 1 6, 50.55, 18.9
3 1 6, 82.32, 14.5



Theoretical powder diffraction line list of Ac3PmOs2N6 for Cu Kα, 1.54184 Å, from a crystal structure in Alexandria, relaxed with PBE.
Lines closer than 0.1° are merged.

Crystal structure
a = 6.1207 Å, b = 6.1207 Å, c = 6.9214 Å
α = 90.00°, β = 90.00°, γ = 120.00°
Space group P-3m1 (No. 164)
Unique sites:
Ac  0.0000  0.0000  0.0000 x1
Ac  0.3333  0.6667  0.6968 x2
Pm  0.0000  0.0000  0.5000 x1
Os  0.3333  0.6667  0.1798 x2
N  0.1723  0.3446  0.2810 x6

Top 6 peaks for 15 to 90 degrees two-theta, most intense first:
index, Position (°2θ), Rel. int.
1 1 0, 29.18, 100.0
0 1 2, 30.86, 84.5
2 0 2, 42.98, 39.7
1 2 2, 52.80, 38.3
3 0 0, 51.74, 21.2
3 1 2, 69.46, 17.3



Theoretical powder diffraction line list of SrAcOs2N4 for Cu Kα, 1.54184 Å, from a crystal structure in Alexandria, relaxed with PBE.
Lines closer than 0.1° are merged.

Crystal structure
a = 6.607 Å, b = 6.630 Å, c = 7.865 Å
α = 90.00°, β = 90.00°, γ = 90.00°
Space group I222 (No. 23)
Unique sites:
Sr  0.000  0.000  0.000 x2
Ac  0.000  0.000  0.500 x2
Os  0.000  0.500  0.156 x4
N  0.032  0.262  0.255 x8

Top 6 peaks for 15 to 90 degrees two-theta, most intense first:
index, Position (°2θ), Rel. int.
2 0 0, 26.95, 100.0
0 1 1, 17.50, 71.9
1 1 2, 29.67, 69.2
2 2 0, 38.47, 34.1
2 1 1, 32.34, 32.9
1 0 3, 36.88, 28.2